Diffraction record for Ho3Si6Pt20. The X-ray diffraction stick pattern is theoretical, not measured: it uses a DFT-relaxed cell (GGA-PBE, Alexandria) and CuKα.
Neutral-atom scattering factors, no anomalous dispersion.

Structural model:
Unit cell a=8.738 b=8.738 c=8.738 alpha=60.00 beta=60.00 gamma=60.00
Positions (direct):
1 Ho 0.000 0.000 0.000
2 Ho 0.250 0.250 0.250
3 Ho 0.750 0.750 0.750
4 Si 0.268 0.268 0.732
5 Si 0.268 0.732 0.268
6 Si 0.268 0.732 0.732
7 Si 0.732 0.268 0.268
8 Si 0.732 0.268 0.732
9 Si 0.732 0.732 0.268
10 Pt 0.000 0.000 0.345
11 Pt 0.000 0.000 0.655
12 Pt 0.000 0.345 0.000
13 Pt 0.000 0.345 0.655
14 Pt 0.000 0.655 0.000
15 Pt 0.000 0.655 0.345
16 Pt 0.150 0.617 0.617
17 Pt 0.345 0.000 0.000
18 Pt 0.345 0.000 0.655
19 Pt 0.345 0.655 0.000
20 Pt 0.383 0.383 0.383
21 Pt 0.383 0.383 0.850
22 Pt 0.383 0.850 0.383
23 Pt 0.617 0.150 0.617
24 Pt 0.617 0.617 0.150
25 Pt 0.617 0.617 0.617
26 Pt 0.655 0.000 0.000
27 Pt 0.655 0.000 0.345
28 Pt 0.655 0.345 0.000
29 Pt 0.850 0.383 0.383

Main lines, by intensity (2θ = 5–70°):
- 2θ 37.83, rel. 1000
- 2θ 43.32, rel. 316
- 2θ 63.92, rel. 258
- 2θ 35.59, rel. 231
- 2θ 41.33, rel. 222
- 2θ 32.40, rel. 209
- 2θ 65.40, rel. 149
- 2θ 43.96, rel. 128
- 2θ 69.27, rel. 88
- 2θ 48.89, rel. 85